Computed XRD peak list
Compound: NaYMg14O16
Radiation: Cu Kα
Structure: the GGA-PBE geometry in the Materials Project
Lines closer than 0.1° are merged.

Structure:
```
32
Lattice="8.670 0.000 0.000 0.000 8.670 0.000 0.000 0.000 4.356" Properties=species:S:1:pos:R:3 pbc="T T T"
Na 0.000 0.000 0.000
Y 4.335 4.335 0.000
Mg 0.000 2.120 2.178
Mg 0.000 4.335 0.000
Mg 0.000 6.550 2.178
Mg 2.043 4.335 2.178
Mg 2.083 2.083 0.000
Mg 2.083 6.586 0.000
Mg 2.120 0.000 2.178
Mg 4.335 0.000 0.000
Mg 4.335 2.043 2.178
Mg 4.335 6.626 2.178
Mg 6.550 0.000 2.178
Mg 6.586 2.083 0.000
Mg 6.586 6.586 0.000
Mg 6.626 4.335 2.178
O 0.000 0.000 2.178
O 0.000 2.288 0.000
O 0.000 4.335 2.178
O 0.000 6.382 0.000
O 2.103 4.335 0.000
O 2.189 2.189 2.178
O 2.189 6.480 2.178
O 2.288 0.000 0.000
O 4.335 0.000 2.178
O 4.335 2.103 0.000
O 4.335 4.335 2.178
O 4.335 6.566 0.000
O 6.382 0.000 0.000
O 6.480 2.189 2.178
O 6.480 6.480 2.178
O 6.566 4.335 0.000
```

Largest 12 diffraction maxima, by angle, 2θ = 5–70°:
d (Å)	I/Imax
8.670	19
6.130	6
4.342	8
3.885	17
3.551	6
3.070	7
2.894	16
2.507	26
2.178	52
2.167	100
1.536	58
1.533	28

---

Computed XRD peak list
Compound: LaB2C2
Radiation: Cu Kα
Structure: the GGA-PBE geometry in the Materials Project
Lines closer than 0.1° are merged.

Structure:
```
10
Lattice="3.837 0.000 0.000 0.000 3.837 0.000 0.000 0.000 7.973" Properties=species:S:1:pos:R:3 pbc="T T T"
La 0.000 0.000 1.993
La 0.000 0.000 5.980
B 0.832 1.918 0.000
B 1.918 0.832 3.986
B 1.918 3.004 3.986
B 3.004 1.918 0.000
C 0.715 1.918 3.986
C 1.918 0.715 0.000
C 1.918 3.121 0.000
C 3.121 1.918 3.986
```

Largest 12 diffraction maxima, by angle, 2θ = 5–70°:
d (Å)	I/Imax
3.986	24
3.837	77
2.764	100
2.713	33
2.243	53
1.993	12
1.918	15
1.769	19
1.729	20
1.716	25
1.606	14
1.576	23

---

Computed XRD peak list
Compound: RbHfMg14
Radiation: Cu Kα
Structure: the GGA-PBE geometry in the Materials Project
Lines closer than 0.1° are merged.

Structure:
```
16
Lattice="10.434 0.000 0.000 0.000 3.342 5.650 0.000 -3.342 5.650" Properties=species:S:1:pos:R:3 pbc="T T T"
Rb 0.000 0.000 0.000
Hf 0.000 0.000 5.497
Mg 0.000 -1.661 8.466
Mg 0.000 1.661 8.466
Mg 2.550 0.000 7.478
Mg 2.699 -1.578 4.680
Mg 2.699 1.578 4.680
Mg 2.757 0.000 1.959
Mg 5.217 0.000 5.637
Mg 5.217 -1.648 8.446
Mg 5.217 1.648 8.446
Mg 5.217 0.000 11.268
Mg 7.677 0.000 1.959
Mg 7.735 -1.578 4.680
Mg 7.735 1.578 4.680
Mg 7.884 0.000 7.478
```

Largest 12 diffraction maxima, by angle, 2θ = 5–70°:
d (Å)	I/Imax
10.434	88
5.650	25
5.217	22
4.968	39
3.833	22
2.877	28
2.774	24
2.609	34
2.519	100
2.484	43
1.932	18
1.488	18

---

Computed XRD peak list
Compound: RbCdO3
Radiation: Cu Kα
Structure: the GGA-PBE geometry in the Materials Project
Lines closer than 0.1° are merged.

Structure:
```
5
Lattice="4.466 0.000 0.000 0.000 4.466 0.000 0.000 0.000 4.466" Properties=species:S:1:pos:R:3 pbc="T T T"
Rb 0.000 0.000 0.000
Cd 2.233 2.233 2.233
O 0.000 2.233 2.233
O 2.233 0.000 2.233
O 2.233 2.233 0.000
```

Largest 9 diffraction maxima, by angle, 2θ = 5–70°:
d (Å)	I/Imax
4.466	8
3.158	100
2.578	1
2.233	35
1.997	3
1.823	41
1.579	21
1.489	1
1.412	18

---

Computed XRD peak list
Compound: H10PtC4N2Cl6
Radiation: Cu Kα
Structure: the GGA-PBE geometry in the Materials Project
Lines closer than 0.1° are merged.

Structure:
```
23
Lattice="6.641 -4.847 0.000 6.641 4.847 0.000 -4.082 0.000 6.170" Properties=species:S:1:pos:R:3 pbc="T T T"
H 0.944 0.000 1.753
H 2.729 -0.599 1.677
H -0.158 -1.468 4.336
H 0.549 -1.814 5.945
H 1.549 -1.984 4.454
H 6.470 -0.599 4.493
H 8.255 0.000 4.418
H 8.650 -1.814 0.225
H 7.650 -1.984 1.716
H 9.356 -1.468 1.834
Pt 6.641 1.558 0.000
C 2.028 0.244 1.626
C 0.536 -2.115 4.890
C 7.171 0.244 4.544
C 8.662 -2.115 1.280
N 2.425 1.395 1.401
N 6.773 1.395 4.769
Cl 0.549 1.543 4.954
Cl 3.420 3.228 4.757
Cl 5.779 3.228 1.413
Cl 3.420 -0.086 4.729
Cl 5.779 -0.086 1.441
Cl 8.649 1.543 1.216
```

Largest 12 diffraction maxima, by angle, 2θ = 5–70°:
d (Å)	I/Imax
7.295	100
6.152	54
5.881	34
5.538	12
4.042	14
4.022	14
3.808	23
3.450	12
2.941	20
2.769	12
2.377	20
2.027	11

---

Computed XRD peak list
Compound: TmHO2
Radiation: Cu Kα
Structure: the GGA-PBE geometry in the Materials Project
Lines closer than 0.1° are merged.

Structure:
```
16
Lattice="5.887 0.000 0.000 0.000 5.434 0.000 -1.869 0.000 5.589" Properties=species:S:1:pos:R:3 pbc="T T T"
Tm 0.919 0.085 1.377
Tm -0.015 2.632 4.172
Tm 4.033 2.802 1.417
Tm 3.099 5.349 4.212
H 1.205 2.873 1.289
H 0.271 5.278 4.084
H 3.747 0.156 1.505
H 2.813 2.561 4.300
O -0.845 0.739 4.872
O 0.090 1.978 2.078
O 1.888 3.447 0.790
O 0.953 4.705 3.584
O 3.065 0.729 2.005
O 2.130 1.988 4.799
O 3.928 3.456 3.511
O 4.863 4.695 0.717
```

Largest 12 diffraction maxima, by angle, 2θ = 5–70°:
d (Å)	I/Imax
3.589	100
2.908	44
2.793	59
2.717	24
2.390	12
1.948	38
1.846	40
1.795	15
1.694	12
1.603	12
1.552	17
1.529	9

---

Computed XRD peak list
Compound: Cu3P4H24C6N2O16
Radiation: Cu Kα
Structure: the GGA-PBE geometry in the Materials Project
Lines closer than 0.1° are merged.

Structure:
```
55
Lattice="7.583 0.000 0.000 -2.064 7.925 0.000 -2.499 -4.024 9.122" Properties=species:S:1:pos:R:3 pbc="T T T"
Cu 0.000 0.000 0.000
Cu -2.214 -0.448 8.557
Cu 5.233 4.350 0.565
P -1.039 2.112 2.153
P 0.376 -1.678 7.891
P 2.643 5.579 1.231
P 4.057 1.789 6.969
H -1.818 -1.848 5.924
H -1.578 -0.515 4.747
H -1.556 1.760 5.501
H -1.460 4.532 3.440
H -2.415 4.326 7.152
H -0.056 6.497 0.904
H 1.396 -0.510 2.107
H -1.129 2.078 7.214
H 0.938 0.991 3.552
H 0.492 -0.303 5.852
H 0.507 0.665 7.356
H 0.693 3.450 5.056
H 2.326 0.451 4.066
H 2.511 3.236 1.766
H 2.527 4.204 3.269
H 2.081 2.910 5.569
H 4.148 1.823 1.908
H 1.623 4.411 7.015
H 3.075 -2.596 8.217
H 5.433 -0.425 1.969
H 4.478 -0.631 5.682
H 4.575 2.141 3.621
H 4.597 4.416 4.375
H 4.837 5.749 3.198
C -2.541 4.696 3.408
C -1.755 1.476 6.546
C 0.047 -0.196 6.854
C 2.971 4.097 2.267
C 4.774 2.425 2.575
C 5.560 -0.795 5.713
N -1.417 0.048 6.764
N 4.436 3.854 2.357
O -3.559 3.226 7.562
O -0.800 3.187 1.037
O -0.886 6.947 1.234
O -0.151 2.290 3.363
O -0.838 -1.791 8.841
O 0.372 -2.934 6.911
O 1.292 5.449 0.566
O 1.525 0.182 3.575
O 1.494 3.719 5.547
O 1.727 -1.547 8.555
O 2.646 6.835 2.210
O 3.857 5.692 0.281
O 3.170 1.612 5.759
O 3.904 -3.045 7.888
O 3.819 0.715 8.085
O 6.578 0.675 1.559
```

Largest 12 diffraction maxima, by angle, 2θ = 5–70°:
d (Å)	I/Imax
9.122	100
7.259	18
6.868	33
4.742	13
4.280	12
4.234	16
3.327	10
3.122	15
3.110	6
2.999	7
2.818	13
2.562	7

---

Computed XRD peak list
Compound: K3GePCO7
Radiation: Cu Kα
Structure: the GGA-PBE geometry in the Materials Project
Lines closer than 0.1° are merged.

Structure:
```
26
Lattice="5.598 0.000 0.000 0.000 7.345 0.000 -0.240 0.000 10.002" Properties=species:S:1:pos:R:3 pbc="T T T"
K 1.228 1.836 4.171
K 1.250 3.686 7.605
K 1.250 7.331 7.605
K 4.109 0.014 2.397
K 4.109 3.659 2.397
K 4.131 5.508 5.831
Ge 1.212 5.508 1.284
Ge 4.147 1.836 8.718
P 1.607 1.836 0.825
P 3.752 5.508 9.178
C 1.365 5.508 4.269
C 3.994 1.836 5.733
O 0.230 5.508 3.626
O 0.604 1.836 9.453
O 1.248 0.570 1.660
O 1.248 3.102 1.660
O 1.368 5.508 5.578
O 2.204 5.508 9.460
O 2.487 5.508 3.613
O 2.871 1.836 6.390
O 3.154 1.836 0.543
O 3.991 1.836 4.424
O 4.111 4.243 8.342
O 4.111 6.774 8.342
O 4.755 5.508 0.550
O 5.129 1.836 6.377
```

Largest 12 diffraction maxima, by angle, 2θ = 5–70°:
d (Å)	I/Imax
10.002	78
3.675	86
2.960	100
2.946	81
2.924	88
2.895	48
2.835	65
2.798	95
2.067	51
1.869	30
1.836	43
1.646	38

---

Computed XRD peak list
Compound: NbCl5
Radiation: Cu Kα
Structure: the GGA-PBE geometry in the Materials Project
Lines closer than 0.1° are merged.

Structure:
```
36
Lattice="10.008 -9.324 0.000 10.008 9.324 0.000 -0.090 0.000 6.413" Properties=species:S:1:pos:R:3 pbc="T T T"
Nb 10.008 7.307 0.000
Nb 6.624 2.017 3.365
Nb 6.624 -2.017 3.365
Nb 13.301 2.017 3.047
Nb 13.301 -2.017 3.047
Nb 10.008 -7.307 0.000
Cl 8.116 7.529 1.348
Cl 0.940 0.000 1.316
Cl 5.549 3.438 4.801
Cl 8.878 5.883 4.954
Cl 4.765 1.794 1.973
Cl 11.809 7.529 5.065
Cl 7.698 3.437 1.928
Cl 11.047 5.883 1.459
Cl 5.655 0.000 4.658
Cl 8.482 1.798 4.761
Cl 4.765 -1.794 1.973
Cl 7.596 0.000 2.075
Cl 12.227 3.437 4.485
Cl 5.549 -3.438 4.801
Cl 11.444 1.798 1.652
Cl 8.482 -1.798 4.761
Cl 14.376 3.438 1.612
Cl 7.698 -3.437 1.928
Cl 12.329 0.000 4.338
Cl 15.160 1.794 4.439
Cl 11.444 -1.798 1.652
Cl 14.270 0.000 1.754
Cl 8.878 -5.883 4.954
Cl 12.227 -3.437 4.485
Cl 8.116 -7.529 1.348
Cl 15.160 -1.794 4.439
Cl 11.047 -5.883 1.459
Cl 14.376 -3.438 1.612
Cl 18.985 0.000 5.096
Cl 11.809 -7.529 5.065
```

Largest 12 diffraction maxima, by angle, 2θ = 5–70°:
d (Å)	I/Imax
6.281	100
5.825	26
5.782	44
5.434	28
5.365	16
4.661	31
4.548	14
2.942	17
2.911	42
2.895	21
2.294	34
1.910	19

---

Computed XRD peak list
Compound: LaCd2
Radiation: Cu Kα
Structure: the GGA-PBE geometry in the Materials Project
Lines closer than 0.1° are merged.

Structure:
```
3
Lattice="5.154 0.000 0.000 -2.577 4.463 0.000 0.000 0.000 3.555" Properties=species:S:1:pos:R:3 pbc="T T T"
La 0.000 0.000 0.000
Cd 0.000 2.975 1.778
Cd 2.577 1.488 1.778
```

Largest 11 diffraction maxima, by angle, 2θ = 5–70°:
d (Å)	I/Imax
4.463	1
3.555	4
2.781	100
2.577	86
2.086	6
1.890	32
1.778	9
1.524	31
1.488	15
1.463	28
1.372	1